[1]
The following is a theoretical powder XRD pattern of Sr4Rh. It was derived from a GGA-PBE-relaxed structure, using Cu Kα (weighted mean of Kα1 and Kα2).
Neutral-atom scattering factors, no anomalous dispersion.

Principal peaks in the range 10 to 80 degrees two-theta, sorted by position:
2θ = 12.0°, 7.400 Å, intensity 18
2θ = 17.4°, 5.086 Å, intensity 30
2θ = 27.3°, 3.268 Å, intensity 100
2θ = 35.3°, 2.545 Å, intensity 43
2θ = 42.4°, 2.134 Å, intensity 23
2θ = 45.9°, 1.977 Å, intensity 22

Crystal structure
Cell: 8.505 14.800 7.025 Å, 90.00 90.00 90.00°
Space group Cmce (No. 64)
Inequivalent atoms, fractional coordinates:
Sr: 0.000 0.163 0.230 x8
Sr: 0.250 0.079 0.750 x8
Rh: 0.000 0.000 0.000 x4

***

[2]
The following is a theoretical powder XRD pattern of Sr4Rh. It was derived from a GGA-PBE-relaxed structure, using Cu Kα (weighted mean of Kα1 and Kα2).
Neutral-atom scattering factors, no anomalous dispersion.

Principal peaks in the range 10 to 80 degrees two-theta, sorted by position:
2θ = 13.5°, 6.555 Å, intensity 41
2θ = 27.2°, 3.277 Å, intensity 100
2θ = 27.5°, 3.246 Å, intensity 47
2θ = 35.2°, 2.548 Å, intensity 41
2θ = 42.6°, 2.123 Å, intensity 33
2θ = 45.9°, 1.978 Å, intensity 26

Crystal structure
Cell: 14.028 14.650 8.596 Å, 90.00 90.00 90.00°
Space group Fdd2 (No. 43)
Inequivalent atoms, fractional coordinates:
Sr: 0.120 0.082 0.000 x16
Sr: 0.120 0.087 0.485 x16
Rh: 0.000 0.000 0.236 x8

***

[3]
The following is a theoretical powder XRD pattern of SrRh3. It was derived from a GGA-PBE-relaxed structure, using Cu Kα (weighted mean of Kα1 and Kα2).
Neutral-atom scattering factors, no anomalous dispersion.

Principal peaks in the range 10 to 80 degrees two-theta, sorted by position:
2θ = 31.7°, 2.821 Å, intensity 26
2θ = 38.7°, 2.327 Å, intensity 36
2θ = 39.0°, 2.310 Å, intensity 100
2θ = 40.9°, 2.206 Å, intensity 26
2θ = 41.4°, 2.180 Å, intensity 37
2θ = 69.3°, 1.355 Å, intensity 26

Crystal structure
Cell: 5.4209 5.4209 17.6495 Å, 90.00 90.00 120.00°
Space group P6_3/mmc (No. 194)
Inequivalent atoms, fractional coordinates:
Sr: 0.3333 0.6667 0.0396 x4
Sr: 0.3333 0.6667 0.2500 x2
Rh: 0.0000 0.0000 0.0000 x2
Rh: 0.0000 0.0000 0.2500 x2
Rh: 0.1653 0.3306 0.6297 x12
Rh: 0.3333 0.6667 0.7500 x2

***

[4]
The following is a theoretical powder XRD pattern of SrTi3Rh. It was derived from a GGA-PBE-relaxed structure, using Cu Kα (weighted mean of Kα1 and Kα2).
Neutral-atom scattering factors, no anomalous dispersion.

Principal peaks in the range 10 to 80 degrees two-theta, sorted by position:
2θ = 18.1°, 4.889 Å, intensity 25
2θ = 25.8°, 3.457 Å, intensity 97
2θ = 31.7°, 2.823 Å, intensity 28
2θ = 36.8°, 2.444 Å, intensity 100
2θ = 45.4°, 1.996 Å, intensity 42
2θ = 53.0°, 1.729 Å, intensity 66

Crystal structure
Cell: 4.889 4.889 4.889 Å, 90.00 90.00 90.00°
Space group Pm-3m (No. 221)
Inequivalent atoms, fractional coordinates:
Sr: 0.000 0.000 0.000 x1
Ti: 0.000 0.500 0.500 x3
Rh: 0.500 0.500 0.500 x1

***

[5]
The following is a theoretical powder XRD pattern of Sr2TlRh. It was derived from a GGA-PBE-relaxed structure, using Cu Kα (weighted mean of Kα1 and Kα2).
Neutral-atom scattering factors, no anomalous dispersion.

Principal peaks in the range 10 to 80 degrees two-theta, sorted by position:
2θ = 16.4°, 5.396 Å, intensity 48
2θ = 21.0°, 4.239 Å, intensity 56
2θ = 25.5°, 3.499 Å, intensity 54
2θ = 31.5°, 2.836 Å, intensity 100
2θ = 33.3°, 2.689 Å, intensity 43
2θ = 46.5°, 1.951 Å, intensity 75

Crystal structure
Cell: 11.733 5.377 9.218 Å, 90.00 113.12 90.00°
Space group C2/c (No. 15)
Inequivalent atoms, fractional coordinates:
Sr: 0.167 0.001 0.084 x8
Tl: 0.000 0.499 0.250 x4
Rh: 0.000 0.001 0.750 x4

***

[6]
The following is a theoretical powder XRD pattern of Sr8TlRh2. It was derived from a GGA-PBE-relaxed structure, using Cu Kα (weighted mean of Kα1 and Kα2).
Neutral-atom scattering factors, no anomalous dispersion.

Principal peaks in the range 10 to 80 degrees two-theta, sorted by position:
2θ = 26.6°, 3.353 Å, intensity 55
2θ = 29.2°, 3.058 Å, intensity 98
2θ = 29.5°, 3.024 Å, intensity 100
2θ = 29.7°, 3.006 Å, intensity 82
2θ = 31.5°, 2.837 Å, intensity 63
2θ = 34.2°, 2.618 Å, intensity 67

Crystal structure
Cell: 9.689 14.206 6.177 Å, 90.00 103.33 90.00°
Space group Cm (No. 8)
Inequivalent atoms, fractional coordinates:
Sr: 0.000 0.000 0.000 x2
Sr: 0.077 0.365 0.792 x4
Sr: 0.186 0.135 0.628 x4
Sr: 0.263 0.500 0.420 x2
Sr: 0.382 0.245 0.210 x4
Tl: 0.382 0.000 0.205 x2
Rh: 0.382 0.314 0.710 x4